Entry 1:
Starting from DFT lattice parameters and positions (PBE), the PXRD pattern of Sn2Sb2S5 was calculated for Cu Kα (λ = 1.5418 Å).
No peak broadening, texture or thermal motion is included.

Largest 10 diffraction maxima, by intensity, 10° ≤ 2θ ≤ 80°:
- 2θ 30.36, I 1000, hkl 3 1 2
- 2θ 32.49, I 921, hkl 4 1 2
- 2θ 23.59, I 402, hkl 1 0 3
- 2θ 26.69, I 347, hkl 5 0 2
- 2θ 27.23, I 342, hkl 6 0 1
- 2θ 52.08, I 313, hkl 9 1 3
- 2θ 45.73, I 304, hkl 0 2 0
- 2θ 25.28, I 302, hkl 2 1 1
- 2θ 27.12, I 263, hkl 3 1 1
- 2θ 15.08, I 252, hkl 3 0 1

Structural model:
abc: 20.498 3.968 11.513
angles: 90.00 90.00 90.00
Space group Pnma (No. 62)
Inequivalent atoms, fractional coordinates:
Sn  0.089  0.250  0.003 [4 per cell]
Sn  0.202  0.250  0.336 [4 per cell]
Sb  0.030  0.750  0.291 [4 per cell]
Sb  0.132  0.750  0.623 [4 per cell]
S  0.020  0.750  0.869 [4 per cell]
S  0.078  0.250  0.425 [4 per cell]
S  0.130  0.750  0.175 [4 per cell]
S  0.171  0.250  0.746 [4 per cell]
S  0.228  0.750  0.496 [4 per cell]

***

Entry 2:
Starting from DFT lattice parameters and positions (PBE), the PXRD pattern of PmMg4Hg was calculated for Cu Kα (λ = 1.5418 Å).
No peak broadening, texture or thermal motion is included.

Largest 10 diffraction maxima, by intensity, 10° ≤ 2θ ≤ 80°:
- 2θ 29.06, I 1000, hkl 2 1 0
- 2θ 19.91, I 949, hkl 0 1 0
- 2θ 20.95, I 910, hkl 2 0 0
- 2θ 32.11, I 769, hkl 1 1 2
- 2θ 37.12, I 632, hkl 2 1 2
- 2θ 35.81, I 513, hkl 1 0 3
- 2θ 41.31, I 466, hkl 1 1 3
- 2θ 24.94, I 419, hkl 1 0 2
- 2θ 15.36, I 389, hkl 1 0 1
- 2θ 51.78, I 386, hkl 3 1 3

Structural model:
abc: 8.479 4.459 7.874
angles: 90.00 90.00 90.00
Space group Pmma (No. 51)
Inequivalent atoms, fractional coordinates:
Pm  0.250  0.000  0.122 [2 per cell]
Mg  0.000  0.000  0.500 [2 per cell]
Mg  0.053  0.500  0.813 [4 per cell]
Mg  0.250  0.500  0.445 [2 per cell]
Hg  0.250  0.000  0.725 [2 per cell]